Structure and simulated powder diffraction line list of LiCu3F7 (a GGA-PBE-relaxed structure; copper Kα).

Atomic structure:
```
22
Lattice="5.9147 -3.6699 0.0000 5.9147 3.6699 0.0000 -3.3713 0.0000 6.0819" Properties=species:S:1:pos:R:3 pbc="T T T"
Li 0.0000 0.0000 0.0000
Li -1.6857 0.0000 3.0410
Cu 2.9573 1.8349 0.0000
Cu 1.2717 1.8349 3.0410
Cu 2.9573 -1.8349 0.0000
Cu 1.2717 -1.8349 3.0410
Cu 5.9147 0.0000 0.0000
Cu 4.2290 0.0000 3.0410
F 0.3540 0.2969 2.4216
F 2.7956 1.4067 1.8977
F -1.3317 -0.2969 5.4625
F 4.8541 1.6015 0.0115
F 5.2895 1.6015 3.0295
F 3.3862 0.7510 4.5615
F 7.3481 1.4067 1.1433
F 1.1099 -1.4067 4.9386
F 5.0718 -0.7510 1.5205
F 3.1684 -1.6015 3.0524
F 3.6039 -1.6015 6.0705
F 9.7896 0.2969 0.6194
F 5.6624 -1.4067 4.1843
F 8.1040 -0.2969 3.6604
```

Largest 12 diffraction maxima, by angle, 10 to 90 degrees two-theta:
two_theta	I_rel
14.80	56
28.60	25
29.37	55
29.85	100
32.83	21
34.68	19
35.70	23
48.28	28
52.90	35
58.77	19
59.20	17
60.87	19

=====

Structure and simulated powder diffraction line list of Li2TlBi (a GGA-PBE-relaxed structure; copper Kα).

Atomic structure:
```
4
Lattice="0.0000 3.5916 3.5916 3.5916 0.0000 3.5916 3.5916 3.5916 0.0000" Properties=species:S:1:pos:R:3 pbc="T T T"
Li 1.7958 1.7958 1.7958
Li 5.3875 5.3875 5.3875
Tl 0.0000 0.0000 0.0000
Bi 3.5916 3.5916 3.5916
```

Largest 9 diffraction maxima, by angle, 10 to 90 degrees two-theta:
two_theta	I_rel
24.79	100
35.34	90
43.65	31
50.84	16
57.36	42
63.44	34
74.76	11
80.17	21
85.49	16

=====

Structure and simulated powder diffraction line list of LiB (a GGA-PBE-relaxed structure; copper Kα).

Atomic structure:
```
4
Lattice="4.0130 0.0000 0.0000 -2.0065 3.4753 0.0000 0.0000 0.0000 3.1153" Properties=species:S:1:pos:R:3 pbc="T T T"
Li 0.0000 2.3169 0.7788
Li 2.0065 1.1584 2.3365
B 0.0000 0.0000 0.0000
B 0.0000 0.0000 1.5577
```

Largest 11 diffraction maxima, by angle, 10 to 90 degrees two-theta:
two_theta	I_rel
25.63	100
38.82	30
45.19	74
52.67	5
61.06	8
65.69	26
71.87	4
77.59	1
79.13	7
83.31	14
83.44	11

=====

Structure and simulated powder diffraction line list of LuFe2Si2 (a GGA-PBE-relaxed structure; copper Kα).

Atomic structure:
```
5
Lattice="-1.9603 1.9603 4.6929 1.9603 -1.9603 4.6929 1.9603 1.9603 -4.6929" Properties=species:S:1:pos:R:3 pbc="T T T"
Lu 0.0000 0.0000 0.0000
Fe 1.9603 0.0000 2.3464
Fe 0.0000 1.9603 2.3464
Si 0.0000 0.0000 3.4534
Si 0.0000 0.0000 5.9323
```

Largest 12 diffraction maxima, by angle, 10 to 90 degrees two-theta:
two_theta	I_rel
24.61	65
36.75	62
37.69	100
38.36	16
46.32	41
53.14	17
54.17	18
60.53	29
61.65	15
68.93	18
73.98	14
80.05	21

=====

Structure and simulated powder diffraction line list of YAl6Cu6 (a GGA-PBE-relaxed structure; copper Kα).

Atomic structure:
```
13
Lattice="-2.5438 4.2895 4.3454 2.5438 -4.2895 4.3454 2.5438 4.2895 -4.3454" Properties=species:S:1:pos:R:3 pbc="T T T"
Y 0.0000 0.0000 0.0000
Al 2.5438 0.0000 1.7685
Al 0.0000 2.9695 0.0000
Al 0.0000 0.0000 3.0336
Al 0.0000 0.0000 5.6571
Al 0.0000 5.6096 0.0000
Al 0.0000 4.2895 2.5769
Cu 1.2719 2.1448 -2.1727
Cu 1.2719 -2.1448 2.1727
Cu 2.5438 1.9589 0.0000
Cu -1.2719 2.1448 2.1727
Cu 1.2719 2.1448 2.1727
Cu 0.0000 2.3307 4.3454
```

Largest 12 diffraction maxima, by angle, 10 to 90 degrees two-theta:
two_theta	I_rel
20.71	50
29.10	41
29.26	19
36.03	18
41.12	80
41.26	33
41.58	100
41.77	31
42.13	46
46.47	71
46.87	28
60.32	32

=====

Structure and simulated powder diffraction line list of Na3AlF6 (a GGA-PBE-relaxed structure; copper Kα).

Atomic structure:
```
10
Lattice="2.7973 1.6150 4.6120 -2.7973 1.6150 4.6120 0.0000 -3.2300 4.6120" Properties=species:S:1:pos:R:3 pbc="T T T"
Na 0.0000 0.0000 0.0000
Na 0.0000 0.0000 3.4758
Na 0.0000 0.0000 10.3601
Al 0.0000 0.0000 6.9180
F -0.5287 -1.4067 5.8675
F -1.4825 -0.2455 7.9684
F -0.9539 1.1612 5.8675
F 0.9539 -1.1612 7.9684
F 1.4825 0.2455 5.8675
F 0.5287 1.4067 7.9684
```

Largest 12 diffraction maxima, by angle, 10 to 90 degrees two-theta:
two_theta	I_rel
19.41	27
22.40	32
31.79	71
32.00	34
37.61	86
39.06	26
39.41	23
45.72	100
56.89	41
57.03	38
66.42	28
75.63	18

=====

Structure and simulated powder diffraction line list of KNdInSbO6 (a GGA-PBE-relaxed structure; copper Kα).

Atomic structure:
```
10
Lattice="0.0000 4.0964 4.0964 4.0964 0.0000 4.0964 4.0964 4.0964 0.0000" Properties=species:S:1:pos:R:3 pbc="T T T"
K 0.0000 0.0000 0.0000
Nd 4.0964 4.0964 4.0964
In 6.1447 6.1447 6.1447
Sb 2.0482 2.0482 2.0482
O 2.0482 2.0482 0.0700
O 2.0482 0.0700 2.0482
O 4.0265 2.0482 2.0482
O 0.0700 2.0482 2.0482
O 2.0482 4.0265 2.0482
O 2.0482 2.0482 4.0265
```

Largest 12 diffraction maxima, by angle, 10 to 90 degrees two-theta:
two_theta	I_rel
18.76	16
21.69	6
30.87	100
36.37	9
44.22	32
48.43	4
54.90	39
58.54	3
64.32	19
73.04	17
81.37	6
89.52	21

=====

Structure and simulated powder diffraction line list of HgCl (a GGA-PBE-relaxed structure; copper Kα).

Atomic structure:
```
4
Lattice="-2.3731 2.3731 5.5623 2.3731 -2.3731 5.5623 2.3731 2.3731 -5.5623" Properties=species:S:1:pos:R:3 pbc="T T T"
Hg 0.0000 0.0000 1.3044
Hg 0.0000 0.0000 9.8201
Cl 0.0000 0.0000 3.7467
Cl 0.0000 0.0000 7.3778
```

Largest 12 diffraction maxima, by angle, 10 to 90 degrees two-theta:
two_theta	I_rel
20.34	100
26.56	92
30.59	16
32.19	24
37.91	36
42.20	45
43.40	31
45.00	28
50.56	27
60.26	23
61.81	17
71.42	19

=====

Structure and simulated powder diffraction line list of ErPO4 (a GGA-PBE-relaxed structure; copper Kα).

Atomic structure:
```
12
Lattice="-3.4559 3.4559 3.0094 3.4559 -3.4559 3.0094 3.4559 3.4559 -3.0094" Properties=species:S:1:pos:R:3 pbc="T T T"
Er 3.4559 1.7280 0.7524
Er 0.0000 1.7280 2.2571
P 3.4559 -1.7280 2.2571
P 0.0000 5.1839 0.7524
O 3.4559 -0.5165 1.2837
O 3.4559 2.9394 -1.2837
O 1.2114 1.7280 0.2210
O 2.2445 -1.7280 3.2305
O 1.2114 5.1839 -0.2210
O 2.2445 1.7280 2.7884
O 0.0000 0.5165 4.2931
O 0.0000 3.9725 1.7257
```

Largest 12 diffraction maxima, by angle, 10 to 90 degrees two-theta:
two_theta	I_rel
19.56	63
25.78	100
32.56	28
35.02	67
36.78	22
41.99	22
47.17	14
49.93	21
51.69	54
52.99	14
65.11	16
77.18	14

=====

Structure and simulated powder diffraction line list of Sm3Mg2MnS8 (a GGA-PBE-relaxed structure; copper Kα).

Atomic structure:
```
14
Lattice="7.8007 0.0000 0.0000 3.7558 6.8483 0.0000 3.7825 2.2525 6.4679" Properties=species:S:1:pos:R:3 pbc="T T T"
Sm 0.0000 0.0000 0.0000
Sm 3.7691 4.5504 3.2339
Sm 5.7916 1.1263 3.2339
Mg 7.6413 4.5376 5.6558
Mg 7.6977 4.5632 0.8121
Mn 1.8912 1.1263 3.2339
S 3.6664 2.1761 1.7347
S 7.4417 6.8989 4.7282
S 5.7251 5.8639 1.7305
S 5.6796 3.3731 4.8253
S 9.6593 5.7277 1.6426
S 9.6138 3.2369 4.7374
S 7.8973 2.2019 1.7397
S 11.6726 6.9248 4.7331
```

Largest 12 diffraction maxima, by angle, 10 to 90 degrees two-theta:
two_theta	I_rel
13.69	87
14.00	76
26.31	62
26.42	57
26.54	25
27.59	24
32.10	100
32.24	49
35.22	35
45.66	46
46.48	44
56.96	26

=====

Structure and simulated powder diffraction line list of HfRu3 (a GGA-PBE-relaxed structure; copper Kα).

Atomic structure:
```
4
Lattice="3.9558 0.0000 0.0000 0.0000 3.9558 0.0000 0.0000 0.0000 3.9558" Properties=species:S:1:pos:R:3 pbc="T T T"
Hf 0.0000 0.0000 0.0000
Ru 0.0000 1.9779 1.9779
Ru 1.9779 0.0000 1.9779
Ru 1.9779 1.9779 0.0000
```

Largest 12 diffraction maxima, by angle, 10 to 90 degrees two-theta:
two_theta	I_rel
22.48	7
32.00	6
39.46	100
45.88	49
51.67	3
57.03	2
66.90	31
71.56	2
76.09	1
80.54	37
84.92	11
89.28	1